# 1
Structure and simulated X-ray powder pattern of Mg6MnFe (a crystal structure in the Materials Project, relaxed with PBE; λ = 1.5418 Å (Cu Kα)).
Peak positions follow from Bragg's law for the DFT cell and can differ from measured ones.

Most intense lines, 10° ≤ 2θ ≤ 90°, by angle:
two_theta  Rel. int.
16.84  34.5
34.06  29.6
37.39  40.3
38.70  57.2
39.01  100.0
51.47  17.7
60.52  17.1
68.53  17.0
73.35  17.3
73.97  14.0

Structure:
Lattice parameters (Å, degrees): 4.810 6.120 6.120 59.34 90.00 90.00
Atoms (fractional coordinates):
Mg  0.000  0.000  0.000
Mg  0.000  0.017  0.492
Mg  0.000  0.492  0.017
Mg  0.500  0.338  0.817
Mg  0.500  0.817  0.338
Mg  0.500  0.833  0.833
Mn  0.000  0.487  0.487
Fe  0.500  0.346  0.346

***

# 2
Structure and simulated X-ray powder pattern of Mg2MnFe3S8 (a crystal structure in the Materials Project, relaxed with PBE; λ = 1.5418 Å (Cu Kα)).
Peak positions follow from Bragg's law for the DFT cell and can differ from measured ones.

Most intense lines, 10° ≤ 2θ ≤ 90°, by angle:
two_theta  Rel. int.
15.46  99.7
29.85  74.4
36.19  100.0
47.60  57.1
52.12  91.2
54.70  16.4
65.09  16.7
67.37  13.1
73.22  11.9
87.98  17.8

Structure:
Lattice parameters (Å, degrees): 7.017 7.017 7.017 60.06 60.06 60.06
Atoms (fractional coordinates):
Mg  0.126  0.126  0.126
Mg  0.874  0.874  0.874
Mn  0.500  0.500  0.500
Fe  0.000  0.500  0.500
Fe  0.500  0.000  0.500
Fe  0.500  0.500  0.000
S  0.258  0.258  0.703
S  0.258  0.703  0.258
S  0.268  0.268  0.268
S  0.297  0.742  0.742
S  0.703  0.258  0.258
S  0.732  0.732  0.732
S  0.742  0.297  0.742
S  0.742  0.742  0.297

***

# 3
Structure and simulated X-ray powder pattern of Mg6FeMo (a crystal structure in the Materials Project, relaxed with PBE; λ = 1.5418 Å (Cu Kα)).
Peak positions follow from Bragg's law for the DFT cell and can differ from measured ones.

Most intense lines, 10° ≤ 2θ ≤ 90°, by angle:
two_theta  Rel. int.
16.43  36.6
17.08  83.9
34.56  50.9
34.84  20.8
38.16  47.4
38.44  83.0
39.64  100.0
52.43  29.4
69.97  17.2
76.07  19.9

Structure:
Lattice parameters (Å, degrees): 4.716 6.155 6.155 57.50 90.00 90.00
Atoms (fractional coordinates):
Mg  0.000  0.000  0.000
Mg  0.000  0.014  0.492
Mg  0.000  0.492  0.014
Mg  0.500  0.350  0.833
Mg  0.500  0.833  0.350
Mg  0.500  0.840  0.840
Fe  0.000  0.475  0.475
Mo  0.500  0.358  0.358

***

# 4
Structure and simulated X-ray powder pattern of Mg6FeMo (a crystal structure in the Materials Project, relaxed with PBE; λ = 1.5418 Å (Cu Kα)).
Peak positions follow from Bragg's law for the DFT cell and can differ from measured ones.

Most intense lines, 10° ≤ 2θ ≤ 90°, by angle:
two_theta  Rel. int.
16.79  40.5
18.42  27.3
25.02  21.7
34.73  34.2
37.33  39.2
38.90  56.1
39.59  100.0
51.91  22.2
68.85  18.0
73.98  18.3

Structure:
Lattice parameters (Å, degrees): 4.817 6.054 6.054 58.56 90.00 90.00
Atoms (fractional coordinates):
Mg  0.000  0.000  0.000
Mg  0.000  0.018  0.515
Mg  0.000  0.500  0.500
Mg  0.000  0.515  0.018
Mg  0.500  0.347  0.844
Mg  0.500  0.844  0.347
Fe  0.500  0.844  0.844
Mo  0.500  0.346  0.346